[1]
The following is a theoretical powder X-ray diffraction pattern of Pr4Sb3I. It was derived from a structure optimized by DFT (GGA-PBE), using Cu Kα X-rays.
Kinematic intensities with the Lorentz-polarization factor, no thermal factor.

Most intense lines, 2θ from 10° to 90°, by angle:
- 2θ = 27.59°, intensity 43.5
- 2θ = 27.72°, intensity 87.7
- 2θ = 39.54°, intensity 100.0
- 2θ = 48.94°, intensity 35.7
- 2θ = 57.24°, intensity 11.3
- 2θ = 64.50°, intensity 14.5
- 2θ = 64.73°, intensity 30.9
- 2θ = 71.59°, intensity 10.7
- 2θ = 71.78°, intensity 22.5
- 2θ = 85.05°, intensity 6.9

```
Pr4Sb3I
1.0
-3.219 3.219 6.467
3.219 -3.219 6.467
3.219 3.219 -6.467
Pr Sb I
4 3 1
Direct
0.000 0.500 0.500
0.239 0.239 0.000
0.500 0.000 0.500
0.761 0.761 0.000
0.000 0.000 0.000
0.250 0.750 0.500
0.750 0.250 0.500
0.500 0.500 0.000
```


[2]
The following is a theoretical powder X-ray diffraction pattern of Ho3Ga5. It was derived from a structure optimized by DFT (GGA-PBE), using Cu Kα X-rays.
Kinematic intensities with the Lorentz-polarization factor, no thermal factor.

Most intense lines, 2θ from 10° to 90°, by angle:
- 2θ = 28.30°, intensity 53.3
- 2θ = 30.37°, intensity 43.6
- 2θ = 33.41°, intensity 80.8
- 2θ = 34.76°, intensity 55.8
- 2θ = 35.72°, intensity 100.0
- 2θ = 36.61°, intensity 73.0
- 2θ = 37.21°, intensity 87.4
- 2θ = 37.85°, intensity 82.0
- 2θ = 41.56°, intensity 65.9
- 2θ = 54.12°, intensity 35.4

```
Ho3Ga5
1.0
11.398 0.000 0.000
0.000 9.667 0.000
0.000 0.000 6.093
Ho Ga
12 20
Direct
0.074 0.250 0.153
0.148 0.510 0.610
0.148 0.990 0.610
0.352 0.010 0.110
0.352 0.490 0.110
0.426 0.750 0.653
0.574 0.250 0.347
0.648 0.510 0.890
0.648 0.990 0.890
0.852 0.010 0.390
0.852 0.490 0.390
0.926 0.750 0.847
0.006 0.250 0.629
0.090 0.552 0.127
0.090 0.948 0.127
0.199 0.750 0.899
0.248 0.750 0.326
0.252 0.250 0.826
0.301 0.250 0.399
0.410 0.052 0.627
0.410 0.448 0.627
0.494 0.750 0.129
0.506 0.250 0.871
0.590 0.552 0.373
0.590 0.948 0.373
0.699 0.750 0.601
0.748 0.750 0.174
0.752 0.250 0.674
0.801 0.250 0.101
0.910 0.052 0.873
0.910 0.448 0.873
0.994 0.750 0.371
```


[3]
The following is a theoretical powder X-ray diffraction pattern of BaHf2Pb2O7. It was derived from a structure optimized by DFT (GGA-PBE), using Cu Kα X-rays.
Kinematic intensities with the Lorentz-polarization factor, no thermal factor.

Most intense lines, 2θ from 10° to 90°, by angle:
- 2θ = 27.39°, intensity 42.1
- 2θ = 28.18°, intensity 100.0
- 2θ = 29.60°, intensity 78.6
- 2θ = 30.73°, intensity 44.2
- 2θ = 33.96°, intensity 18.5
- 2θ = 41.03°, intensity 23.0
- 2θ = 41.63°, intensity 29.0
- 2θ = 52.12°, intensity 18.2
- 2θ = 53.09°, intensity 17.9
- 2θ = 56.41°, intensity 30.1

```
BaHf2Pb2O7
1.0
-1.903 9.435 2.909
1.903 -9.435 2.909
1.903 9.435 -2.909
Ba Hf Pb O
1 2 2 7
Direct
0.000 0.000 0.000
0.432 0.035 0.397
0.638 0.035 0.603
0.261 0.552 0.710
0.842 0.552 0.290
0.124 0.708 0.416
0.244 0.960 0.284
0.292 0.708 0.584
0.547 0.664 0.884
0.656 0.156 0.500
0.676 0.960 0.716
0.780 0.664 0.116
```


[4]
The following is a theoretical powder X-ray diffraction pattern of Ce2AlGeRh6. It was derived from a structure optimized by DFT (GGA-PBE), using Cu Kα X-rays.
Kinematic intensities with the Lorentz-polarization factor, no thermal factor.

Most intense lines, 2θ from 10° to 90°, by angle:
- 2θ = 27.64°, intensity 11.2
- 2θ = 34.02°, intensity 100.0
- 2θ = 39.48°, intensity 77.8
- 2θ = 48.88°, intensity 4.7
- 2θ = 57.07°, intensity 52.2
- 2θ = 64.56°, intensity 2.1
- 2θ = 68.13°, intensity 38.7
- 2θ = 71.62°, intensity 17.4
- 2θ = 78.39°, intensity 2.4
- 2θ = 85.00°, intensity 8.3

```
Ce2AlGeRh6
1.0
0.000 4.564 4.564
4.564 0.000 4.564
4.564 4.564 0.000
Ce Al Ge Rh
2 1 1 6
Direct
0.250 0.250 0.250
0.750 0.750 0.750
0.000 0.000 0.000
0.500 0.500 0.500
0.249 0.249 0.751
0.249 0.751 0.249
0.249 0.751 0.751
0.751 0.249 0.249
0.751 0.249 0.751
0.751 0.751 0.249
```